For KAgPbF4, a DFT-relaxed cell (GGA-PBE, Alexandria) gives the calculated X-ray diffraction stick pattern in this record (Cu Kα (weighted mean of Kα1 and Kα2)).
Kinematic intensities with the Lorentz-polarization factor, no thermal factor.

Principal peaks in the range 10 to 90 degrees two-theta, by intensity:
d [Å]  2θ/deg  I_rel
6.096  14.53  100
3.244  27.50  65
1.874  48.58  58
2.678  33.47  47
3.094  28.85  34
3.171  28.14  33

Crystal structure
```
data_KAgPbF4
_space_group_name_H-M_alt 'I m m a'
_space_group_IT_number 74
_space_group_name_Hall '-I 2b 2'
_cell_length_a 7.488
_cell_length_b 7.661
_cell_length_c 10.500
_cell_angle_alpha 90.00
_cell_angle_beta 90.00
_cell_angle_gamma 90.00
loop_
_atom_site_label
_atom_site_fract_x
_atom_site_fract_y
_atom_site_fract_z
_atom_site_occupancy
K1 0.000 0.250 0.137 1
Ag1 0.250 0.250 0.750 1
Pb1 0.000 0.000 0.500 1
F1 0.000 0.038 0.732 1
F2 0.212 0.250 0.495 1
```

For KRb2AgF4, a DFT-relaxed cell (GGA-PBE, Alexandria) gives the calculated X-ray diffraction stick pattern in this record (Cu Kα (weighted mean of Kα1 and Kα2)).
Kinematic intensities with the Lorentz-polarization factor, no thermal factor.

Principal peaks in the range 10 to 90 degrees two-theta, by intensity:
d [Å]  2θ/deg  I_rel
2.683  33.39  100
5.969  14.84  63
3.275  27.23  58
2.551  35.18  37
3.456  25.78  36
3.309  26.95  35

Crystal structure
```
data_KRb2AgF4
_space_group_name_H-M_alt 'C m c m'
_space_group_IT_number 63
_space_group_name_Hall '-C 2c 2'
_cell_length_a 3.876
_cell_length_b 13.236
_cell_length_c 13.825
_cell_angle_alpha 90.00
_cell_angle_beta 90.00
_cell_angle_gamma 90.00
loop_
_atom_site_label
_atom_site_fract_x
_atom_site_fract_y
_atom_site_fract_z
_atom_site_occupancy
K1 0.000 0.128 0.250 1
Rb1 0.000 0.368 0.043 1
Ag1 0.000 0.137 0.750 1
F1 0.000 0.000 0.000 1
F2 0.000 0.268 0.635 1
F3 0.000 0.464 0.250 1
```

Copy entry 1 word for word.
For KAgPbF4, a DFT-relaxed cell (GGA-PBE, Alexandria) gives the calculated X-ray diffraction stick pattern in this record (Cu Kα (weighted mean of Kα1 and Kα2)).
Kinematic intensities with the Lorentz-polarization factor, no thermal factor.

Principal peaks in the range 10 to 90 degrees two-theta, by intensity:
d [Å]  2θ/deg  I_rel
6.096  14.53  100
3.244  27.50  65
1.874  48.58  58
2.678  33.47  47
3.094  28.85  34
3.171  28.14  33

Crystal structure
```
data_KAgPbF4
_space_group_name_H-M_alt 'I m m a'
_space_group_IT_number 74
_space_group_name_Hall '-I 2b 2'
_cell_length_a 7.488
_cell_length_b 7.661
_cell_length_c 10.500
_cell_angle_alpha 90.00
_cell_angle_beta 90.00
_cell_angle_gamma 90.00
loop_
_atom_site_label
_atom_site_fract_x
_atom_site_fract_y
_atom_site_fract_z
_atom_site_occupancy
K1 0.000 0.250 0.137 1
Ag1 0.250 0.250 0.750 1
Pb1 0.000 0.000 0.500 1
F1 0.000 0.038 0.732 1
F2 0.212 0.250 0.495 1
```

What did the second record say?
For KRb2AgF4, a DFT-relaxed cell (GGA-PBE, Alexandria) gives the calculated X-ray diffraction stick pattern in this record (Cu Kα (weighted mean of Kα1 and Kα2)).
Kinematic intensities with the Lorentz-polarization factor, no thermal factor.

Principal peaks in the range 10 to 90 degrees two-theta, by intensity:
d [Å]  2θ/deg  I_rel
2.683  33.39  100
5.969  14.84  63
3.275  27.23  58
2.551  35.18  37
3.456  25.78  36
3.309  26.95  35

Crystal structure
```
data_KRb2AgF4
_space_group_name_H-M_alt 'C m c m'
_space_group_IT_number 63
_space_group_name_Hall '-C 2c 2'
_cell_length_a 3.876
_cell_length_b 13.236
_cell_length_c 13.825
_cell_angle_alpha 90.00
_cell_angle_beta 90.00
_cell_angle_gamma 90.00
loop_
_atom_site_label
_atom_site_fract_x
_atom_site_fract_y
_atom_site_fract_z
_atom_site_occupancy
K1 0.000 0.128 0.250 1
Rb1 0.000 0.368 0.043 1
Ag1 0.000 0.137 0.750 1
F1 0.000 0.000 0.000 1
F2 0.000 0.268 0.635 1
F3 0.000 0.464 0.250 1
```